Theoretical XRD peak list of Nb6SnTe8 for Cu Kα, from a cell relaxed with GGA-PBE.
No peak broadening, texture or thermal motion is included.

Main lines, low angle first (10° ≤ 2θ ≤ 80°):
- 28.81 deg, I 50
- 29.48 deg, I 26
- 31.04 deg, I 62
- 34.80 deg, I 75
- 35.36 deg, I 100
- 41.69 deg, I 37
- 42.86 deg, I 23
- 44.67 deg, I 20
- 49.42 deg, I 25
- 55.39 deg, I 18
- 62.07 deg, I 23
- 76.24 deg, I 34

Structure:
abc: 10.734 10.734 3.671
angles: 90.00 90.00 120.00
Sites, in units of the cell vectors:
Nb 0.103 0.489 0.250
Nb 0.386 0.897 0.250
Nb 0.489 0.386 0.750
Nb 0.511 0.614 0.250
Nb 0.614 0.103 0.750
Nb 0.897 0.511 0.750
Sn 0.000 0.000 0.000
Te 0.061 0.730 0.251
Te 0.270 0.331 0.251
Te 0.331 0.061 0.749
Te 0.333 0.667 0.750
Te 0.667 0.333 0.250
Te 0.669 0.939 0.251
Te 0.730 0.669 0.749
Te 0.939 0.270 0.749


Theoretical XRD peak list of WS8Cl6 for Cu Kα, from a cell relaxed with GGA-PBE.
No peak broadening, texture or thermal motion is included.

Main lines, low angle first (10° ≤ 2θ ≤ 80°):
- 12.70 deg, I 27
- 13.10 deg, I 37
- 14.71 deg, I 53
- 14.96 deg, I 100
- 15.12 deg, I 42
- 15.41 deg, I 56
- 15.72 deg, I 26
- 17.07 deg, I 71
- 17.61 deg, I 72
- 21.21 deg, I 24
- 25.00 deg, I 50
- 33.29 deg, I 45

Structure:
abc: 8.513 8.517 14.513
angles: 95.80 99.44 90.11
Sites, in units of the cell vectors:
W 0.213 0.223 0.393
W 0.787 0.777 0.607
S 0.073 0.249 0.843
S 0.131 0.480 0.895
S 0.232 0.102 0.913
S 0.265 0.578 0.808
S 0.396 0.812 0.118
S 0.401 0.629 0.202
S 0.407 0.042 0.835
S 0.497 0.434 0.137
S 0.503 0.566 0.863
S 0.593 0.958 0.165
S 0.599 0.371 0.798
S 0.604 0.188 0.882
S 0.735 0.422 0.192
S 0.768 0.898 0.087
S 0.869 0.520 0.105
S 0.927 0.751 0.157
Cl 0.049 0.853 0.611
Cl 0.137 0.484 0.392
Cl 0.173 0.196 0.231
Cl 0.252 0.250 0.555
Cl 0.288 0.963 0.393
Cl 0.474 0.300 0.396
Cl 0.526 0.700 0.604
Cl 0.712 0.037 0.607
Cl 0.748 0.750 0.445
Cl 0.827 0.804 0.769
Cl 0.863 0.516 0.608
Cl 0.951 0.147 0.389


Theoretical XRD peak list of PdCl2 for Cu Kα, from a cell relaxed with GGA-PBE.
No peak broadening, texture or thermal motion is included.

Main lines, low angle first (10° ≤ 2θ ≤ 80°):
- 12.07 deg, I 100
- 12.69 deg, I 55
- 20.61 deg, I 13
- 25.54 deg, I 18
- 27.48 deg, I 13
- 28.33 deg, I 14
- 33.04 deg, I 61
- 42.22 deg, I 21
- 45.31 deg, I 17
- 47.88 deg, I 16
- 52.47 deg, I 14
- 58.63 deg, I 11

Structure:
abc: 8.622 8.622 8.622
angles: 108.01 108.01 108.01
Sites, in units of the cell vectors:
Pd 0.193 0.418 0.444
Pd 0.418 0.444 0.193
Pd 0.444 0.193 0.418
Pd 0.556 0.807 0.582
Pd 0.582 0.556 0.807
Pd 0.807 0.582 0.556
Cl 0.115 0.364 0.141
Cl 0.141 0.115 0.364
Cl 0.251 0.723 0.526
Cl 0.277 0.474 0.749
Cl 0.364 0.141 0.115
Cl 0.474 0.749 0.277
Cl 0.526 0.251 0.723
Cl 0.636 0.859 0.885
Cl 0.723 0.526 0.251
Cl 0.749 0.277 0.474
Cl 0.859 0.885 0.636
Cl 0.885 0.636 0.859


Theoretical XRD peak list of CsHfMg14O15 for Cu Kα, from a cell relaxed with GGA-PBE.
No peak broadening, texture or thermal motion is included.

Main lines, low angle first (10° ≤ 2θ ≤ 80°):
- 15.12 deg, I 36
- 21.49 deg, I 35
- 22.80 deg, I 100
- 25.22 deg, I 24
- 26.38 deg, I 84
- 30.54 deg, I 32
- 31.52 deg, I 67
- 34.27 deg, I 56
- 43.78 deg, I 82
- 49.91 deg, I 32
- 51.83 deg, I 27
- 63.64 deg, I 22

Structure:
abc: 4.137 8.268 11.720
angles: 90.00 90.00 90.00
Sites, in units of the cell vectors:
Cs 0.000 0.000 0.000
Hf 0.000 0.500 0.067
Mg 0.000 0.000 0.537
Mg 0.000 0.250 0.337
Mg 0.000 0.252 0.739
Mg 0.000 0.500 0.528
Mg 0.000 0.748 0.739
Mg 0.000 0.750 0.337
Mg 0.500 0.000 0.338
Mg 0.500 0.000 0.731
Mg 0.500 0.237 0.163
Mg 0.500 0.258 0.555
Mg 0.500 0.500 0.357
Mg 0.500 0.500 0.823
Mg 0.500 0.742 0.555
Mg 0.500 0.763 0.163
O 0.000 0.000 0.366
O 0.000 0.255 0.557
O 0.000 0.286 0.148
O 0.000 0.500 0.355
O 0.000 0.500 0.889
O 0.000 0.714 0.148
O 0.000 0.745 0.557
O 0.500 0.000 0.161
O 0.500 0.000 0.554
O 0.500 0.253 0.339
O 0.500 0.269 0.746
O 0.500 0.500 0.098
O 0.500 0.500 0.530
O 0.500 0.731 0.746
O 0.500 0.747 0.339


Theoretical XRD peak list of Zr2Ga3Cu for Cu Kα, from a cell relaxed with GGA-PBE.
No peak broadening, texture or thermal motion is included.

Main lines, low angle first (10° ≤ 2θ ≤ 80°):
- 34.89 deg, I 31
- 35.02 deg, I 19
- 36.18 deg, I 32
- 36.43 deg, I 35
- 36.72 deg, I 81
- 36.85 deg, I 81
- 42.16 deg, I 100
- 43.43 deg, I 59
- 55.83 deg, I 15
- 57.76 deg, I 16
- 57.93 deg, I 17
- 75.32 deg, I 19

Structure:
abc: 9.949 4.168 6.588
angles: 90.00 131.09 90.00
Sites, in units of the cell vectors:
Zr 0.000 0.000 0.000
Zr 0.082 0.000 0.586
Zr 0.500 0.500 0.000
Zr 0.582 0.500 0.586
Ga 0.190 0.500 0.413
Ga 0.214 0.500 0.006
Ga 0.380 0.000 0.592
Ga 0.690 0.000 0.413
Ga 0.714 0.000 0.006
Ga 0.880 0.500 0.592
Cu 0.373 0.000 0.184
Cu 0.873 0.500 0.184


Theoretical XRD peak list of RbMg6Co for Cu Kα, from a cell relaxed with GGA-PBE.
No peak broadening, texture or thermal motion is included.

Main lines, low angle first (10° ≤ 2θ ≤ 80°):
- 15.88 deg, I 22
- 16.75 deg, I 21
- 23.16 deg, I 19
- 27.56 deg, I 10
- 31.66 deg, I 15
- 32.09 deg, I 27
- 32.43 deg, I 11
- 33.87 deg, I 37
- 36.03 deg, I 100
- 36.39 deg, I 18
- 47.34 deg, I 12
- 62.00 deg, I 24

Structure:
abc: 5.293 6.555 11.164
angles: 90.00 90.00 90.00
Sites, in units of the cell vectors:
Rb 0.000 0.000 0.000
Rb 0.000 0.500 0.500
Mg 0.000 0.241 0.744
Mg 0.000 0.259 0.244
Mg 0.000 0.741 0.244
Mg 0.000 0.759 0.744
Mg 0.500 0.000 0.321
Mg 0.500 0.000 0.814
Mg 0.500 0.223 0.571
Mg 0.500 0.277 0.071
Mg 0.500 0.500 0.314
Mg 0.500 0.500 0.821
Mg 0.500 0.723 0.071
Mg 0.500 0.777 0.571
Co 0.000 0.000 0.561
Co 0.000 0.500 0.061


Theoretical XRD peak list of Mo3Se4S2 for Cu Kα, from a cell relaxed with GGA-PBE.
No peak broadening, texture or thermal motion is included.

Main lines, low angle first (10° ≤ 2θ ≤ 80°):
- 11.74 deg, I 100
- 14.69 deg, I 15
- 31.51 deg, I 33
- 33.73 deg, I 12
- 36.35 deg, I 39
- 37.96 deg, I 48
- 41.70 deg, I 14
- 43.80 deg, I 18
- 46.03 deg, I 41
- 56.10 deg, I 23
- 57.54 deg, I 9
- 79.65 deg, I 12

Structure:
abc: 3.278 3.278 30.144
angles: 90.00 90.00 120.00
Sites, in units of the cell vectors:
Mo 0.000 0.000 0.000
Mo 0.667 0.333 0.231
Mo 0.667 0.333 0.769
Se 0.000 0.000 0.175
Se 0.000 0.000 0.287
Se 0.000 0.000 0.713
Se 0.000 0.000 0.825
S 0.667 0.333 0.051
S 0.667 0.333 0.949